No. 1
Structure and calculated powder XRD pattern of Ti8SnN2 (a cell relaxed with PBE; CuKα).
Kinematic intensities with the Lorentz-polarization factor, no thermal factor.

Atomic structure:
abc: 7.4859 7.4859 7.4859
angles: 144.31 137.88 56.37
Fractional coordinates of all 11 atoms:
Ti1 0.1192 0.1192 0.0000
Ti2 0.1612 0.3985 0.7627
Ti3 0.2719 0.7719 0.5000
Ti4 0.3641 0.6015 0.7627
Ti5 0.6359 0.3985 0.2373
Ti6 0.7281 0.2281 0.5000
Ti7 0.8388 0.6015 0.2373
Ti8 0.8808 0.8808 0.0000
Sn1 0.5000 0.0000 0.5000
N1 0.2704 0.2704 0.0000
N2 0.7296 0.7296 0.0000

Largest 8 diffraction maxima, in order of rising 2θ, 2θ = 10–80°:
two_theta	d_spacing	Rel. int.
37.51	2.398	58
37.97	2.370	23
39.27	2.294	43
39.41	2.286	100
43.41	2.085	22
55.76	1.649	21
69.98	1.344	18
71.29	1.323	16



No. 2
Structure and calculated powder XRD pattern of NdGa12Ir7 (a cell relaxed with PBE; CuKα).
Kinematic intensities with the Lorentz-polarization factor, no thermal factor.

Atomic structure:
abc: 7.9740 7.9740 7.9740
angles: 109.47 109.47 109.47
Fractional coordinates of all 20 atoms:
Nd1 0.0000 0.0000 0.0000
Ga1 0.1162 0.3366 0.7797
Ga2 0.2203 0.5569 0.3366
Ga3 0.2203 0.8838 0.6634
Ga4 0.3366 0.2203 0.5569
Ga5 0.3366 0.7797 0.1162
Ga6 0.4431 0.6634 0.7797
Ga7 0.5569 0.3366 0.2203
Ga8 0.6634 0.2203 0.8838
Ga9 0.6634 0.7797 0.4431
Ga10 0.7797 0.1162 0.3366
Ga11 0.7797 0.4431 0.6634
Ga12 0.8838 0.6634 0.2203
Ir1 0.0000 0.0000 0.5000
Ir2 0.0000 0.5000 0.0000
Ir3 0.0000 0.5000 0.5000
Ir4 0.5000 0.0000 0.0000
Ir5 0.5000 0.0000 0.5000
Ir6 0.5000 0.5000 0.0000
Ir7 0.5000 0.5000 0.5000

Largest 8 diffraction maxima, in order of rising 2θ, 2θ = 10–80°:
two_theta	d_spacing	Rel. int.
13.60	6.511	11
27.40	3.255	100
30.71	2.912	13
39.13	2.302	46
48.43	1.879	84
56.54	1.628	19
63.95	1.456	22
77.59	1.230	38



No. 3
Structure and calculated powder XRD pattern of B8O (a cell relaxed with PBE; CuKα).
Kinematic intensities with the Lorentz-polarization factor, no thermal factor.

Atomic structure:
abc: 5.1403 5.1403 9.1439
angles: 107.19 107.19 62.32
Fractional coordinates of all 27 atoms:
B1 0.0000 0.0000 0.0000
B2 0.0101 0.6712 0.6599
B3 0.1339 0.1339 0.3472
B4 0.1663 0.8356 0.1712
B5 0.1704 0.5018 0.1653
B6 0.2076 0.2076 0.0016
B7 0.3356 0.6749 0.6554
B8 0.3369 0.3369 0.3330
B9 0.3560 0.9164 0.5524
B10 0.3909 0.8664 0.0645
B11 0.4457 0.9754 0.7593
B12 0.4691 0.9485 0.2681
B13 0.5018 0.1704 0.1653
B14 0.5065 0.5065 0.4901
B15 0.6311 0.6311 0.8218
B16 0.6712 0.0101 0.6599
B17 0.6749 0.3356 0.6554
B18 0.7129 0.7129 0.4993
B19 0.8356 0.1663 0.1712
B20 0.8392 0.8392 0.8289
B21 0.8664 0.3909 0.0645
B22 0.9164 0.3560 0.5524
B23 0.9485 0.4691 0.2681
B24 0.9754 0.4457 0.7593
O1 0.2363 0.2363 0.8509
O2 0.5997 0.5997 0.9729
O3 0.7442 0.7442 0.3529

Largest 8 diffraction maxima, in order of rising 2θ, 2θ = 10–80°:
two_theta	d_spacing	Rel. int.
20.64	4.304	19
21.53	4.128	60
24.10	3.693	11
34.96	2.567	100
39.88	2.261	48
40.12	2.248	23
63.41	1.467	15
64.90	1.437	9